[1]
Sr2YMo2O7: calculated PXRD pattern (Cu Ka), based on a cell relaxed with PBE+U.

Top 10 peaks for 10° ≤ 2θ ≤ 80°, in order of rising 2θ:
| 2θ (°) | I/Imax | h k l |
| --- | --- | --- |
| 16.50 | 20 | 1 1 0 |
| 23.32 | 21 | 2 1 1 |
| 25.99 | 39 | 4 1 1 |
| 26.35 | 19 | 8 0 0 |
| 29.96 | 100 | 6 1 1 |
| 30.95 | 26 | 0 0 2 |
| 32.68 | 15 | 0 2 0 |
| 40.32 | 15 | 10 1 1 |
| 45.63 | 23 | 0 2 2 |
| 54.43 | 22 | 6 1 3 |

abc: 27.059 5.481 5.778
angles: 90.00 90.00 90.00
Space group Ima2 (No. 46)
Asymmetric unit:
1 Sr 0.188 0.091 0.000
2 Y 0.000 0.000 0.044
3 Mo 0.076 0.000 0.542
4 O 0.051 0.247 0.311
5 O 0.052 0.746 0.785
6 O 0.147 0.023 0.606
7 O 0.250 0.197 0.274

=====

[2]
Mg6NiBiO8: calculated PXRD pattern (Cu Ka), based on a cell relaxed with PBE+U.

Top 10 peaks for 10° ≤ 2θ ≤ 80°, in order of rising 2θ:
| 2θ (°) | I/Imax | h k l |
| --- | --- | --- |
| 19.79 | 76 | 1 0 0 |
| 19.91 | 39 | 0 0 2 |
| 22.18 | 44 | 1 0 1 |
| 28.19 | 100 | 1 0 2 |
| 34.71 | 68 | 1 1 2 |
| 40.21 | 82 | 2 0 0 |
| 40.45 | 38 | 0 0 4 |
| 45.23 | 39 | 2 0 2 |
| 49.85 | 29 | 2 1 2 |
| 58.36 | 47 | 2 0 4 |

abc: 4.485 4.485 8.919
angles: 90.00 90.00 90.00
Space group P4/mmm (No. 123)
Asymmetric unit:
1 Mg 0.000 0.000 0.000
2 Mg 0.000 0.000 0.500
3 Mg 0.000 0.500 0.229
4 Ni 0.500 0.500 0.000
5 Bi 0.500 0.500 0.500
6 O 0.000 0.000 0.249
7 O 0.000 0.500 0.000
8 O 0.000 0.500 0.500
9 O 0.500 0.500 0.230

=====

[3]
MgMnCo2O6: calculated PXRD pattern (Cu Ka), based on a cell relaxed with PBE+U.

Top 10 peaks for 10° ≤ 2θ ≤ 80°, in order of rising 2θ:
| 2θ (°) | I/Imax | h k l |
| --- | --- | --- |
| 16.88 | 100 | 0 1 1 |
| 35.45 | 14 | 1 1 0 |
| 36.34 | 13 | 1 -1 1 |
| 36.97 | 13 | 0 1 -2 |
| 41.64 | 15 | 1 2 1 |
| 42.78 | 13 | 1 -2 0 |
| 43.76 | 13 | 0 0 3 |
| 53.57 | 8 | 1 3 2 |
| 54.81 | 7 | -1 3 1 |
| 55.99 | 7 | 0 1 4 |

abc: 2.944 6.278 6.746
angles: 70.51 77.61 88.59
Space group P1 (No. 1)
Asymmetric unit:
1 Mg 0.000 0.000 0.000
2 Mn 0.752 0.092 0.470
3 Co 0.110 0.739 0.793
4 Co 0.439 0.440 0.135
5 O 0.254 0.882 0.487
6 O 0.255 0.301 0.445
7 O 0.602 0.973 0.791
8 O 0.603 0.540 0.830
9 O 0.884 0.202 0.161
10 O 0.980 0.660 0.100

=====

[4]
Li2TiCr3O8: calculated PXRD pattern (Cu Ka), based on a cell relaxed with PBE+U.

Top 10 peaks for 10° ≤ 2θ ≤ 80°, in order of rising 2θ:
| 2θ (°) | I/Imax | h k l |
| --- | --- | --- |
| 17.92 | 100 | 0 0 1 |
| 35.49 | 21 | 0 2 -1 |
| 35.58 | 10 | -2 2 1 |
| 37.08 | 6 | 0 2 0 |
| 42.76 | 20 | 2 0 0 |
| 42.91 | 39 | 0 2 -2 |
| 56.35 | 10 | -2 2 3 |
| 61.64 | 10 | 2 -2 2 |
| 62.80 | 11 | 2 -4 0 |
| 65.84 | 8 | -2 4 1 |

abc: 5.918 5.920 6.005
angles: 90.07 119.39 119.85
Space group P-1 (No. 2)
Asymmetric unit:
1 Li 0.000 0.000 0.000
2 Li 0.500 0.000 0.000
3 Ti 0.000 0.500 0.500
4 Cr 0.000 0.000 0.500
5 Cr 0.500 0.000 0.500
6 Cr 0.500 0.500 0.500
7 O 0.019 0.261 0.287
8 O 0.039 0.767 0.294
9 O 0.472 0.223 0.699
10 O 0.475 0.744 0.716

=====

[5]
WF5: calculated PXRD pattern (Cu Ka), based on a cell relaxed with PBE+U.

Top 10 peaks for 10° ≤ 2θ ≤ 80°, in order of rising 2θ:
| 2θ (°) | I/Imax | h k l |
| --- | --- | --- |
| 16.06 | 100 | 0 2 0 |
| 20.76 | 51 | 0 0 2 |
| 26.03 | 52 | 1 1 0 |
| 26.36 | 39 | 0 2 2 |
| 33.53 | 37 | 1 1 2 |
| 34.86 | 17 | 1 3 0 |
| 40.92 | 18 | 1 3 2 |
| 48.36 | 15 | 1 5 0 |
| 50.30 | 21 | 1 1 4 |
| 55.89 | 17 | 1 3 4 |

abc: 3.600 11.039 8.556
angles: 90.00 90.00 90.00
Space group Cmcm (No. 63)
Asymmetric unit:
1 W 0.000 0.000 0.000
2 F 0.000 0.022 0.250
3 F 0.000 0.159 0.586
4 F 0.000 0.424 0.585

=====

[6]
Li2V3CrO8: calculated PXRD pattern (Cu Ka), based on a cell relaxed with PBE+U.

Top 10 peaks for 10° ≤ 2θ ≤ 80°, in order of rising 2θ:
| 2θ (°) | I/Imax | h k l |
| --- | --- | --- |
| 18.22 | 100 | 1 1 -1 |
| 35.14 | 15 | 1 1 -3 |
| 35.23 | 16 | 1 3 1 |
| 35.47 | 8 | 3 1 -1 |
| 35.60 | 7 | 3 1 1 |
| 42.70 | 39 | 0 0 4 |
| 43.30 | 19 | 4 0 0 |
| 56.53 | 10 | 1 5 -1 |
| 61.98 | 12 | 0 4 4 |
| 62.48 | 11 | 4 4 0 |

abc: 8.358 8.461 8.478
angles: 90.00 90.38 90.00
Space group P2_1 (No. 4)
Asymmetric unit:
1 Li 0.003 0.000 0.254
2 Li 0.245 0.757 0.498
3 Li 0.255 0.250 0.995
4 Li 0.495 0.010 0.756
5 V 0.123 0.879 0.878
6 V 0.124 0.622 0.122
7 V 0.127 0.374 0.371
8 V 0.372 0.625 0.872
9 V 0.379 0.380 0.621
10 V 0.382 0.133 0.376
11 Cr 0.124 0.128 0.626
12 Cr 0.375 0.877 0.123
13 O 0.107 0.374 0.134
14 O 0.111 0.889 0.641
15 O 0.117 0.109 0.865
16 O 0.118 0.603 0.361
17 O 0.133 0.150 0.386
18 O 0.134 0.866 0.110
19 O 0.141 0.636 0.884
20 O 0.144 0.367 0.609
21 O 0.355 0.864 0.884
22 O 0.362 0.641 0.107
23 O 0.365 0.145 0.611
24 O 0.367 0.372 0.384
25 O 0.375 0.614 0.637
26 O 0.383 0.392 0.857
27 O 0.394 0.890 0.364
28 O 0.400 0.120 0.135